Starting from the PBE geometry in Alexandria, the X-ray diffraction stick pattern of LiAlGaAg3 was calculated for Cu Kα (weighted mean of Kα1 and Kα2).
Lines closer than 0.1° are merged.

Structural model:
Cell: 7.231 3.297 9.029 Å, 90.00 110.45 90.00°
Space group P2_1/m (No. 11)
Inequivalent atoms, fractional coordinates:
1 Li 0.001 0.250 0.370 [2 per cell]
2 Al 0.358 0.250 0.228 [2 per cell]
3 Ga 0.009 0.750 0.130 [2 per cell]
4 Ag 0.319 0.750 0.456 [2 per cell]
5 Ag 0.321 0.250 0.714 [2 per cell]
6 Ag 0.323 0.750 0.978 [2 per cell]

Principal peaks in the range 10 to 90 degrees two-theta, low angle first:
2θ (°)  Rel. int.
13.07  28
19.44  20
26.31  15
29.07  26
34.18  18
38.87  100
39.70  97
39.95  90
55.76  18
70.77  31
71.26  26
72.94  26